(1)
For Li2HoGa2Pd2, a crystal structure in Alexandria, relaxed with GGA-PBE gives the calculated powder diffractogram in this record (copper Kα).
Neutral-atom scattering factors, no anomalous dispersion.

Top 6 peaks for 2θ from 10° to 80°, by angle:
d = 3.792 Å, rel. 1000; d = 3.123 Å, rel. 399; d = 2.387 Å, rel. 594; d = 2.229 Å, rel. 836; d = 2.217 Å, rel. 412; d = 2.174 Å, rel. 567

Crystal structure
Cell lengths 7.7365, 4.4347, 7.4848 Å; angles 90.00, 109.35, 90.00 degrees
Element x y z (fractional)
Li: 0.0765 0.0000 0.2230
Li: 0.4235 0.5000 0.7770
Li: 0.5765 0.5000 0.2230
Li: 0.9235 0.0000 0.7770
Ho: 0.0000 0.5000 0.5000
Ho: 0.5000 0.0000 0.5000
Ga: 0.1388 0.5000 0.9184
Ga: 0.3612 0.0000 0.0816
Ga: 0.6388 0.0000 0.9184
Ga: 0.8612 0.5000 0.0816
Pd: 0.2378 0.0000 0.7217
Pd: 0.2622 0.5000 0.2783
Pd: 0.7378 0.5000 0.7217
Pd: 0.7622 0.0000 0.2783

---

(2)
For Ca3Ni2H7, a crystal structure in Alexandria, relaxed with GGA-PBE gives the calculated powder diffractogram in this record (copper Kα).
Neutral-atom scattering factors, no anomalous dispersion.

Top 6 peaks for 2θ from 10° to 80°, by angle:
d = 2.674 Å, rel. 1000; d = 2.466 Å, rel. 574; d = 2.264 Å, rel. 375; d = 1.744 Å, rel. 197; d = 1.461 Å, rel. 273; d = 1.419 Å, rel. 163

Crystal structure
Cell lengths 10.7027, 10.7027, 10.7027 Å; angles 161.24, 161.24, 26.65 degrees
Element x y z (fractional)
Ca: 0.0000 0.0000 0.0000
Ca: 0.1715 0.1715 0.0000
Ca: 0.8285 0.8285 0.0000
Ni: 0.4130 0.4130 0.0000
Ni: 0.5870 0.5870 0.0000
H: 0.0862 0.5862 0.5000
H: 0.3321 0.3321 0.0000
H: 0.4138 0.9138 0.5000
H: 0.5000 0.5000 0.0000
H: 0.5862 0.0862 0.5000
H: 0.6679 0.6679 0.0000
H: 0.9138 0.4138 0.5000

---

(3)
For Dy2TmPd3, a crystal structure in Alexandria, relaxed with GGA-PBE gives the calculated powder diffractogram in this record (copper Kα).
Neutral-atom scattering factors, no anomalous dispersion.

Top 6 peaks for 2θ from 10° to 80°, by angle:
d = 2.771 Å, rel. 958; d = 2.761 Å, rel. 1000; d = 2.592 Å, rel. 689; d = 2.359 Å, rel. 446; d = 2.122 Å, rel. 465; d = 2.014 Å, rel. 402

Crystal structure
Cell lengths 6.5577, 6.5577, 8.4878 Å; angles 108.70, 108.70, 53.24 degrees
Element x y z (fractional)
Dy: 0.1553 0.1997 0.0842
Dy: 0.1997 0.1553 0.5842
Dy: 0.8003 0.8447 0.4158
Dy: 0.8447 0.8003 0.9158
Tm: 0.3514 0.6486 0.7500
Tm: 0.6486 0.3514 0.2500
Pd: 0.1442 0.8558 0.2500
Pd: 0.3317 0.3859 0.4231
Pd: 0.3859 0.3317 0.9231
Pd: 0.6141 0.6683 0.0769
Pd: 0.6683 0.6141 0.5769
Pd: 0.8558 0.1442 0.7500

---

(4)
For ZnHPd3, a crystal structure in Alexandria, relaxed with GGA-PBE gives the calculated powder diffractogram in this record (copper Kα).
Neutral-atom scattering factors, no anomalous dispersion.

Top 6 peaks for 2θ from 10° to 80°, by angle:
d = 2.776 Å, rel. 228; d = 2.218 Å, rel. 1000; d = 2.214 Å, rel. 333; d = 2.036 Å, rel. 551; d = 1.208 Å, rel. 178; d = 1.207 Å, rel. 175

Crystal structure
Cell lengths 6.9187, 6.9187, 5.7586 Å; angles 101.89, 101.89, 77.27 degrees
Element x y z (fractional)
Zn: 0.0010 0.9990 0.7500
Zn: 0.3456 0.6544 0.7500
Zn: 0.6544 0.3456 0.2500
Zn: 0.9990 0.0010 0.2500
H: 0.1920 0.4858 0.1760
H: 0.4858 0.1920 0.6760
H: 0.5142 0.8080 0.3240
H: 0.8080 0.5142 0.8240
Pd: 0.0222 0.6787 0.9281
Pd: 0.0249 0.6779 0.4217
Pd: 0.3213 0.9778 0.5719
Pd: 0.3221 0.9751 0.0783
Pd: 0.3398 0.3409 0.4215
Pd: 0.3409 0.3398 0.9215
Pd: 0.6591 0.6602 0.0785
Pd: 0.6602 0.6591 0.5785
Pd: 0.6779 0.0249 0.9217
Pd: 0.6787 0.0222 0.4281
Pd: 0.9751 0.3221 0.5783
Pd: 0.9778 0.3213 0.0719

---

(5)
For CdBr2O5, a crystal structure in Alexandria, relaxed with GGA-PBE gives the calculated powder diffractogram in this record (copper Kα).
Neutral-atom scattering factors, no anomalous dispersion.

Top 6 peaks for 2θ from 10° to 80°, by angle:
d = 6.539 Å, rel. 1000; d = 4.745 Å, rel. 794; d = 3.734 Å, rel. 997; d = 3.707 Å, rel. 821; d = 3.209 Å, rel. 955; d = 2.716 Å, rel. 911

Crystal structure
Cell lengths 6.9399, 8.4432, 10.3365 Å; angles 90.00, 90.54, 90.00 degrees
Element x y z (fractional)
Cd: 0.2394 0.0227 0.4231
Cd: 0.2394 0.4773 0.9231
Cd: 0.7606 0.5227 0.0769
Cd: 0.7606 0.9773 0.5769
Br: 0.1357 0.6837 0.6144
Br: 0.1357 0.8163 0.1144
Br: 0.4435 0.1955 0.1472
Br: 0.4435 0.3045 0.6472
Br: 0.5565 0.6955 0.3528
Br: 0.5565 0.8045 0.8528
Br: 0.8643 0.1837 0.8856
Br: 0.8643 0.3163 0.3856
O: 0.0683 0.6172 0.0805
O: 0.0683 0.8828 0.5805
O: 0.2134 0.6869 0.7756
O: 0.2134 0.8131 0.2756
O: 0.2577 0.1165 0.0660
O: 0.2577 0.3835 0.5660
O: 0.3637 0.2267 0.2992
O: 0.3637 0.2733 0.7992
O: 0.4546 0.1154 0.5828
O: 0.4546 0.3846 0.0828
O: 0.5454 0.6154 0.9172
O: 0.5454 0.8846 0.4172
O: 0.6363 0.7267 0.2008
O: 0.6363 0.7733 0.7008
O: 0.7423 0.6165 0.4340
O: 0.7423 0.8835 0.9340
O: 0.7866 0.1869 0.7244
O: 0.7866 0.3131 0.2244
O: 0.9317 0.1172 0.4195
O: 0.9317 0.3828 0.9195

---

(6)
For PaOsI, a crystal structure in Alexandria, relaxed with GGA-PBE gives the calculated powder diffractogram in this record (copper Kα).
Neutral-atom scattering factors, no anomalous dispersion.

Top 6 peaks for 2θ from 10° to 80°, by angle:
d = 3.112 Å, rel. 334; d = 3.094 Å, rel. 734; d = 2.703 Å, rel. 655; d = 2.689 Å, rel. 634; d = 2.682 Å, rel. 634; d = 2.082 Å, rel. 1000

Crystal structure
Cell lengths 4.1648, 4.1648, 12.1273 Å; angles 89.61, 89.49, 60.01 degrees
Element x y z (fractional)
Pa: 0.0034 0.0015 0.3430
Pa: 0.9966 0.9985 0.6570
Os: 0.3342 0.3337 0.4605
Os: 0.6658 0.6663 0.5395
I: 0.3260 0.3301 0.8393
I: 0.6740 0.6699 0.1607

---

(7)
For CeAl2GaPt4, a crystal structure in Alexandria, relaxed with GGA-PBE gives the calculated powder diffractogram in this record (copper Kα).
Neutral-atom scattering factors, no anomalous dispersion.

Top 6 peaks for 2θ from 10° to 80°, by angle:
d = 3.240 Å, rel. 418; d = 2.644 Å, rel. 469; d = 2.464 Å, rel. 582; d = 2.150 Å, rel. 1000; d = 2.011 Å, rel. 325; d = 1.358 Å, rel. 245

Crystal structure
Cell lengths 9.1036, 9.1036, 9.1036 Å; angles 27.33, 27.33, 27.33 degrees
Element x y z (fractional)
Ce: 0.0000 0.0000 0.0000
Al: 0.2416 0.2416 0.2416
Al: 0.7584 0.7584 0.7584
Ga: 0.5000 0.5000 0.5000
Pt: 0.1341 0.1341 0.1341
Pt: 0.4022 0.4022 0.4022
Pt: 0.5978 0.5978 0.5978
Pt: 0.8659 0.8659 0.8659

---

(8)
For KCdCl2F, a crystal structure in Alexandria, relaxed with GGA-PBE gives the calculated powder diffractogram in this record (copper Kα).
Neutral-atom scattering factors, no anomalous dispersion.

Top 6 peaks for 2θ from 10° to 80°, by angle:
d = 7.143 Å, rel. 402; d = 6.541 Å, rel. 1000; d = 3.017 Å, rel. 448; d = 2.962 Å, rel. 372; d = 2.949 Å, rel. 493; d = 2.225 Å, rel. 312

Crystal structure
Cell lengths 7.4642, 4.0267, 9.1415 Å; angles 90.00, 106.87, 90.00 degrees
Element x y z (fractional)
K: 0.1485 0.2500 0.3864
K: 0.8515 0.7500 0.6136
Cd: 0.3587 0.2500 0.8195
Cd: 0.6413 0.7500 0.1805
Cl: 0.2886 0.7500 0.9961
Cl: 0.4385 0.7500 0.6543
Cl: 0.5615 0.2500 0.3457
Cl: 0.7114 0.2500 0.0039
F: 0.0729 0.2500 0.6634
F: 0.9271 0.7500 0.3366

---

(9)
For ReOs2, a crystal structure in Alexandria, relaxed with GGA-PBE gives the calculated powder diffractogram in this record (copper Kα).
Neutral-atom scattering factors, no anomalous dispersion.

Top 6 peaks for 2θ from 10° to 80°, by angle:
d = 2.215 Å, rel. 821; d = 2.147 Å, rel. 1000; d = 2.095 Å, rel. 271; d = 1.825 Å, rel. 188; d = 1.542 Å, rel. 216; d = 1.303 Å, rel. 186

Crystal structure
Cell lengths 7.4390, 7.4390, 2.7571 Å; angles 90.00, 90.00, 120.00 degrees
Element x y z (fractional)
Re: 0.0000 0.0000 0.0000
Re: 0.3333 0.6667 0.5000
Re: 0.6667 0.3333 0.5000
Os: 0.0000 0.3019 0.5000
Os: 0.0000 0.6398 0.0000
Os: 0.3019 0.0000 0.5000
Os: 0.3602 0.3602 0.0000
Os: 0.6398 0.0000 0.0000
Os: 0.6981 0.6981 0.5000

---

(10)
For LaPrHg4, a crystal structure in Alexandria, relaxed with GGA-PBE gives the calculated powder diffractogram in this record (copper Kα).
Neutral-atom scattering factors, no anomalous dispersion.

Top 6 peaks for 2θ from 10° to 80°, by angle:
d = 2.736 Å, rel. 1000; d = 2.692 Å, rel. 277; d = 2.264 Å, rel. 156; d = 2.059 Å, rel. 129; d = 1.635 Å, rel. 127; d = 1.562 Å, rel. 188

Crystal structure
Cell lengths 4.1182, 5.3836, 7.7615 Å; angles 90.00, 105.32, 90.00 degrees
Element x y z (fractional)
La: 0.0000 0.0000 0.0000
Pr: 0.7907 0.5000 0.5799
Hg: 0.1264 0.5000 0.2491
Hg: 0.3274 0.0000 0.6545
Hg: 0.4608 0.5000 0.9205
Hg: 0.6663 0.0000 0.3349

---

(11)
For Al4As3O23, a crystal structure in Alexandria, relaxed with GGA-PBE gives the calculated powder diffractogram in this record (copper Kα).
Neutral-atom scattering factors, no anomalous dispersion.

Top 6 peaks for 2θ from 10° to 80°, by angle:
d = 7.913 Å, rel. 1000; d = 4.569 Å, rel. 292; d = 3.957 Å, rel. 116; d = 2.798 Å, rel. 348; d = 2.386 Å, rel. 125; d = 1.769 Å, rel. 98

Crystal structure
Cell lengths 7.9132, 7.9132, 7.9132 Å; angles 90.00, 90.00, 90.00 degrees
Element x y z (fractional)
Al: 0.1628 0.1628 0.1628
Al: 0.1628 0.8372 0.8372
Al: 0.8372 0.1628 0.8372
Al: 0.8372 0.8372 0.1628
As: 0.0000 0.0000 0.5000
As: 0.0000 0.5000 0.0000
As: 0.5000 0.0000 0.0000
O: 0.0000 0.5000 0.5000
O: 0.1116 0.1116 0.8884
O: 0.1116 0.8884 0.1116
O: 0.1265 0.1265 0.3799
O: 0.1265 0.3799 0.1265
O: 0.1265 0.6201 0.8735
O: 0.1265 0.8735 0.6201
O: 0.2085 0.2085 0.7915
O: 0.2085 0.7915 0.2085
O: 0.3799 0.1265 0.1265
O: 0.3799 0.8735 0.8735
O: 0.5000 0.0000 0.5000
O: 0.5000 0.5000 0.0000
O: 0.6201 0.1265 0.8735
O: 0.6201 0.8735 0.1265
O: 0.7915 0.2085 0.2085
O: 0.7915 0.7915 0.7915
O: 0.8735 0.1265 0.6201
O: 0.8735 0.3799 0.8735
O: 0.8735 0.6201 0.1265
O: 0.8735 0.8735 0.3799
O: 0.8884 0.1116 0.1116
O: 0.8884 0.8884 0.8884

---

(12)
For Tl3CN2, a crystal structure in Alexandria, relaxed with GGA-PBE gives the calculated powder diffractogram in this record (copper Kα).
Neutral-atom scattering factors, no anomalous dispersion.

Top 6 peaks for 2θ from 10° to 80°, by angle:
d = 3.542 Å, rel. 572; d = 3.400 Å, rel. 566; d = 3.195 Å, rel. 1000; d = 2.453 Å, rel. 501; d = 2.329 Å, rel. 808; d = 1.882 Å, rel. 364

Crystal structure
Cell lengths 7.9053, 7.9053, 7.9053 Å; angles 132.25, 72.40, 129.05 degrees
Element x y z (fractional)
Tl: 0.0265 0.7500 0.2765
Tl: 0.2500 0.2500 0.0000
Tl: 0.4735 0.7500 0.7235
Tl: 0.5265 0.2500 0.2765
Tl: 0.7500 0.7500 0.0000
Tl: 0.9735 0.2500 0.7235
C: 0.0000 0.5000 0.5000
C: 0.5000 0.0000 0.5000
N: 0.0779 0.6165 0.6944
N: 0.4221 0.1165 0.5386
N: 0.5779 0.8835 0.4614
N: 0.9221 0.3835 0.3056